Computed XRD peak list of Tm3Mg2Pd6 for Cu Kα X-rays, from the GGA-PBE geometry in Alexandria.
Intensities are scaled so that the largest is 100.

Atomic structure:
a b c (Å): 9.5663 9.5663 9.5663
angles (deg): 90.00 90.00 90.00
Space group Im-3m (No. 229)
One atom of each set of equivalent atoms:
1 Tm 0.0000 0.0000 0.3055 [12 per cell]
2 Mg 0.2500 0.2500 0.2500 [8 per cell]
3 Pd 0.0000 0.3383 0.3383 [24 per cell]

Largest 6 diffraction maxima, sorted by position, 2θ from 15° to 90°:
| Position (°2θ) | I (rel.) |
| --- | --- |
| 29.5 | 21.5 |
| 35.1 | 18.4 |
| 40.0 | 100.0 |
| 57.8 | 14.1 |
| 72.6 | 32.3 |
| 86.3 | 10.5 |

=====

Computed XRD peak list of BaS4O13 for Cu Kα X-rays, from the GGA-PBE geometry in Alexandria.
Intensities are scaled so that the largest is 100.

Atomic structure:
a b c (Å): 9.5816 12.3064 9.7098
angles (deg): 90.00 99.01 90.00
Space group C2/c (No. 15)
One atom of each set of equivalent atoms:
1 Ba 0.0000 0.1975 0.2500 [4 per cell]
2 S 0.1019 0.3426 0.8806 [8 per cell]
3 S 0.2330 0.0527 0.5930 [8 per cell]
4 O 0.0000 0.4034 0.7500 [4 per cell]
5 O 0.0145 0.2807 0.9588 [8 per cell]
6 O 0.1276 0.0089 0.1502 [8 per cell]
7 O 0.1517 0.4448 0.9645 [8 per cell]
8 O 0.1653 0.3880 0.3104 [8 per cell]
9 O 0.1913 0.1008 0.4576 [8 per cell]
10 O 0.2123 0.2881 0.8236 [8 per cell]

Largest 6 diffraction maxima, sorted by position, 2θ from 15° to 90°:
| Position (°2θ) | I (rel.) |
| --- | --- |
| 17.1 | 71.4 |
| 23.2 | 66.8 |
| 23.7 | 76.6 |
| 24.3 | 55.5 |
| 24.4 | 100.0 |
| 43.1 | 56.0 |

=====

Computed XRD peak list of Rb2Tl12In3Hg for Cu Kα X-rays, from the GGA-PBE geometry in Alexandria.
Intensities are scaled so that the largest is 100.

Atomic structure:
a b c (Å): 11.3978 11.3978 16.2376
angles (deg): 90.00 90.00 120.00
Space group R-3m (No. 166, hexagonal axes)
One atom of each set of equivalent atoms:
1 Rb 0.0000 0.0000 0.2211 [6 per cell]
2 Tl 0.0141 0.5071 0.2010 [18 per cell]
3 Tl 0.0303 0.5152 0.6029 [18 per cell]
4 In 0.0000 0.5000 0.0000 [9 per cell]
5 Hg 0.0000 0.0000 0.5000 [3 per cell]

Largest 6 diffraction maxima, sorted by position, 2θ from 15° to 90°:
| Position (°2θ) | I (rel.) |
| --- | --- |
| 31.4 | 100.0 |
| 33.0 | 68.7 |
| 46.2 | 24.1 |
| 55.9 | 16.2 |
| 56.9 | 23.2 |
| 60.0 | 15.6 |

=====

Computed XRD peak list of Ce5Zr3O16 for Cu Kα X-rays, from the GGA-PBE geometry in Alexandria.
Intensities are scaled so that the largest is 100.

Atomic structure:
a b c (Å): 10.6997 10.8171 5.4068
angles (deg): 90.00 90.00 90.00
Space group C222 (No. 21)
One atom of each set of equivalent atoms:
1 Ce 0.0000 0.0000 0.0000 [2 per cell]
2 Ce 0.2427 0.5000 0.5000 [4 per cell]
3 Ce 0.2500 0.2500 0.9907 [4 per cell]
4 Zr 0.0000 0.2434 0.5000 [4 per cell]
5 Zr 0.0000 0.5000 0.0000 [2 per cell]
6 O 0.1135 0.3605 0.7088 [8 per cell]
7 O 0.1182 0.1411 0.2702 [8 per cell]
8 O 0.1288 0.3938 0.2027 [8 per cell]
9 O 0.1307 0.1144 0.7617 [8 per cell]

Largest 6 diffraction maxima, sorted by position, 2θ from 15° to 90°:
| Position (°2θ) | I (rel.) |
| --- | --- |
| 28.7 | 100.0 |
| 33.1 | 18.9 |
| 47.6 | 17.9 |
| 47.8 | 35.8 |
| 56.5 | 29.0 |
| 57.0 | 14.0 |

=====

Computed XRD peak list of Tb3SmZn8 for Cu Kα X-rays, from the GGA-PBE geometry in Alexandria.
Intensities are scaled so that the largest is 100.

Atomic structure:
a b c (Å): 5.5838 5.5838 8.6604
angles (deg): 90.00 90.00 120.00
Space group P3m1 (No. 156)
One atom of each set of equivalent atoms:
1 Tb 0.0000 0.0000 0.0000 [1 per cell]
2 Tb 0.0000 0.0000 0.3869 [1 per cell]
3 Tb 0.3333 0.6667 0.8849 [1 per cell]
4 Sm 0.3333 0.6667 0.4965 [1 per cell]
5 Zn 0.0002 0.5001 0.1899 [3 per cell]
6 Zn 0.3312 0.1656 0.6933 [3 per cell]
7 Zn 0.6667 0.3333 0.4426 [1 per cell]
8 Zn 0.6667 0.3333 0.9412 [1 per cell]

Largest 6 diffraction maxima, sorted by position, 2θ from 15° to 90°:
| Position (°2θ) | I (rel.) |
| --- | --- |
| 32.1 | 54.4 |
| 36.2 | 71.7 |
| 38.4 | 100.0 |
| 38.7 | 52.9 |
| 59.9 | 32.7 |
| 66.4 | 27.0 |

=====

Computed XRD peak list of CeSnPd for Cu Kα X-rays, from the GGA-PBE geometry in Alexandria.
Intensities are scaled so that the largest is 100.

Atomic structure:
a b c (Å): 4.7307 4.7307 3.6590
angles (deg): 90.00 90.00 120.00
Space group P-6m2 (No. 187)
One atom of each set of equivalent atoms:
1 Ce 0.0000 0.0000 0.0000 [1 per cell]
2 Sn 0.3333 0.6667 0.5000 [1 per cell]
3 Pd 0.6667 0.3333 0.5000 [1 per cell]

Largest 6 diffraction maxima, sorted by position, 2θ from 15° to 90°:
| Position (°2θ) | I (rel.) |
| --- | --- |
| 32.8 | 100.0 |
| 38.0 | 70.5 |
| 51.1 | 28.7 |
| 64.4 | 30.3 |
| 65.4 | 27.3 |
| 89.6 | 13.1 |

=====

Computed XRD peak list of NaCaSi4 for Cu Kα X-rays, from the GGA-PBE geometry in Alexandria.
Intensities are scaled so that the largest is 100.

Atomic structure:
a b c (Å): 3.9504 4.4660 7.1596
angles (deg): 90.00 90.00 90.00
Space group Pmmm (No. 47)
One atom of each set of equivalent atoms:
1 Na 0.0000 0.0000 0.0000 [1 per cell]
2 Ca 0.5000 0.0000 0.5000 [1 per cell]
3 Si 0.0000 0.5000 0.3380 [2 per cell]
4 Si 0.5000 0.5000 0.1651 [2 per cell]

Largest 6 diffraction maxima, sorted by position, 2θ from 15° to 90°:
| Position (°2θ) | I (rel.) |
| --- | --- |
| 32.0 | 48.3 |
| 32.7 | 100.0 |
| 40.4 | 27.9 |
| 44.3 | 41.8 |
| 45.9 | 18.8 |
| 61.5 | 30.0 |